[1]
K3TlCl6: computed X-ray powder pattern (Cu Kα, 1.54184 Å), based on a cell relaxed with PBE.

Peak list (6 most intense, 10° ≤ 2θ ≤ 90°, sorted by position)
- d = 6.436 Å, intensity 100
- d = 5.574 Å, intensity 96
- d = 3.941 Å, intensity 98
- d = 2.787 Å, intensity 90
- d = 2.493 Å, intensity 47
- d = 1.971 Å, intensity 60

Structural model:
a = 11.148 Å, b = 11.148 Å, c = 11.148 Å
α = 90.00°, β = 90.00°, γ = 90.00°
Space group Fm-3m (No. 225)
Asymmetric unit:
K1 0.000 0.000 0.000 (multiplicity 4)
K2 0.250 0.250 0.250 (multiplicity 8)
Tl1 0.000 0.000 0.500 (multiplicity 4)
Cl1 0.000 0.000 0.266 (multiplicity 24)



[2]
VIn3S4: computed X-ray powder pattern (Cu Kα, 1.54184 Å), based on a cell relaxed with PBE.

Peak list (6 most intense, 10° ≤ 2θ ≤ 90°, sorted by position)
- d = 3.735 Å, intensity 72
- d = 3.050 Å, intensity 23
- d = 2.641 Å, intensity 100
- d = 2.156 Å, intensity 30
- d = 1.670 Å, intensity 47
- d = 1.525 Å, intensity 29

Structural model:
a = 7.470 Å, b = 7.470 Å, c = 7.470 Å
α = 90.00°, β = 90.00°, γ = 90.00°
Space group I-43m (No. 217)
Asymmetric unit:
V1 0.000 0.000 0.000 (multiplicity 2)
In1 0.000 0.000 0.500 (multiplicity 6)
S1 0.167 0.167 0.833 (multiplicity 8)